Record 1
Structure and theoretical powder X-ray diffraction pattern of LaDy12In6 (DFT lattice parameters and positions (PBE); CuKα).
Neutral-atom scattering factors, no anomalous dispersion.

Crystal structure
Cell: 13.8420 13.8420 11.2881 Å, 90.00 90.00 120.00°
Space group R-3m (No. 166, hexagonal axes)
Inequivalent atoms, fractional coordinates:
1 La 0.0000 0.0000 0.0000 [3 per cell]
2 Dy 0.0000 0.3785 0.5000 [18 per cell]
3 Dy 0.0890 0.1781 0.3569 [18 per cell]
4 In 0.0269 0.5134 0.2702 [18 per cell]

The 8 most intense peaks (2θ = 5–70°), low angle first:
2θ = 26.97°, I = 44
2θ = 27.98°, I = 100
2θ = 31.22°, I = 23
2θ = 32.67°, I = 75
2θ = 33.54°, I = 29
2θ = 33.87°, I = 49
2θ = 35.16°, I = 34
2θ = 40.90°, I = 44

=====

Record 2
Structure and theoretical powder X-ray diffraction pattern of Mg5Zn (DFT lattice parameters and positions (PBE); CuKα).
Neutral-atom scattering factors, no anomalous dispersion.

Crystal structure
Cell: 3.1598 3.1598 14.9526 Å, 90.00 90.00 120.00°
Space group P-6m2 (No. 187)
Inequivalent atoms, fractional coordinates:
1 Mg 0.0000 0.0000 0.0000 [1 per cell]
2 Mg 0.0000 0.0000 0.3521 [2 per cell]
3 Mg 0.6667 0.3333 0.1769 [2 per cell]
4 Zn 0.6667 0.3333 0.5000 [1 per cell]

The 8 most intense peaks (2θ = 5–70°), low angle first:
2θ = 5.91°, I = 100
2θ = 11.84°, I = 22
2θ = 32.73°, I = 27
2θ = 36.04°, I = 20
2θ = 37.49°, I = 94
2θ = 49.47°, I = 15
2θ = 58.41°, I = 17
2θ = 65.76°, I = 12